Calculated X-ray powder pattern
Compound: NaNdTi2O6
Radiation: a wavelength of 1.5418 Å
Structure: the GGA-PBE geometry in Alexandria
Neutral-atom scattering factors, no anomalous dispersion.

Largest 6 diffraction maxima, by intensity, 5° ≤ 2θ ≤ 70°:
Position (°2θ)	I_rel
32.67	100.0
19.95	53.1
19.67	43.8
58.59	34.9
46.67	31.1
38.59	26.7

Crystal structure
Lattice parameters (Å, degrees): 7.718 5.564 5.448 90.00 90.00 90.00
Space group Pmn2_1 (No. 31)
Inequivalent atoms, fractional coordinates:
Na1 0.000 0.227 0.000 [2 per cell]
Nd1 0.000 0.695 0.511 [2 per cell]
Ti1 0.247 0.236 0.515 [4 per cell]
O1 0.000 0.265 0.428 [2 per cell]
O2 0.000 0.767 0.071 [2 per cell]
O3 0.210 0.956 0.699 [4 per cell]
O4 0.216 0.463 0.772 [4 per cell]

Calculated X-ray powder pattern
Compound: LiB8C8
Radiation: a wavelength of 1.5418 Å
Structure: the GGA-PBE geometry in Alexandria
Neutral-atom scattering factors, no anomalous dispersion.

Largest 6 diffraction maxima, by intensity, 5° ≤ 2θ ≤ 70°:
Position (°2θ)	I_rel
13.70	100.0
38.40	8.2
17.80	6.8
41.92	5.5
15.70	4.8
41.86	4.0

Crystal structure
Lattice parameters (Å, degrees): 6.522 2.728 9.243 90.00 97.54 90.00
Space group P2/m (No. 10)
Inequivalent atoms, fractional coordinates:
Li1 0.000 0.000 0.000 [1 per cell]
B1 0.287 0.000 0.860 [2 per cell]
B2 0.327 0.500 0.101 [2 per cell]
B3 0.364 0.000 0.358 [2 per cell]
B4 0.377 0.500 0.618 [2 per cell]
C1 0.254 0.500 0.937 [2 per cell]
C2 0.369 0.000 0.189 [2 per cell]
C3 0.373 0.500 0.449 [2 per cell]
C4 0.389 0.000 0.713 [2 per cell]

Calculated X-ray powder pattern
Compound: Pm3TmHg2C
Radiation: a wavelength of 1.5418 Å
Structure: the GGA-PBE geometry in Alexandria
Neutral-atom scattering factors, no anomalous dispersion.

Largest 6 diffraction maxima, by intensity, 5° ≤ 2θ ≤ 70°:
Position (°2θ)	I_rel
34.76	100.0
27.96	50.8
35.11	32.2
37.12	29.0
25.33	21.8
52.02	21.2

Crystal structure
Lattice parameters (Å, degrees): 4.845 5.112 15.206 90.00 90.00 90.00
Space group Immm (No. 71)
Inequivalent atoms, fractional coordinates:
Pm1 0.000 0.000 0.000 [2 per cell]
Pm2 0.000 0.500 0.167 [4 per cell]
Tm1 0.000 0.000 0.500 [2 per cell]
Hg1 0.000 0.500 0.370 [4 per cell]
C1 0.000 0.500 0.000 [2 per cell]